This entry pairs a crystal structure of Re3Sn7 with its computed powder XRD pattern. Radiation: Cu Kα. Structure: a DFT-relaxed cell (PBE, OQMD).
Intensities are scaled so that the largest is 100.

Cell and atoms:
```
Re3Sn7
1.0
1.764 -5.028 0.000
1.764 5.028 0.000
0.000 0.000 23.665
Re Sn
6 14
Cartesian
1.764 4.824 17.749
1.764 0.721 1.332
1.764 0.721 10.501
1.764 -0.721 13.165
1.764 -0.721 22.333
1.764 -4.824 5.916
1.764 3.575 0.790
1.764 3.575 11.042
1.764 3.272 14.959
1.764 3.272 20.539
1.764 2.381 5.916
1.764 0.566 15.695
1.764 0.566 19.803
1.764 -0.566 3.862
1.764 -0.566 7.971
1.764 -2.381 17.749
1.764 -3.272 3.126
1.764 -3.272 8.707
1.764 -3.575 12.623
1.764 -3.575 22.875
```

Peak list (12 most intense, 2θ = 15–90°, in order of rising 2θ)
2θ (°), I/Imax
32.90, 100
36.54, 24
37.80, 22
38.01, 47
38.78, 44
40.64, 51
40.81, 51
41.79, 19
51.84, 30
63.88, 21
66.07, 18
67.87, 23

***

This entry pairs a crystal structure of Dy3Si2Ge2Au4 with its computed powder XRD pattern. Radiation: Cu Kα. Structure: a DFT-relaxed cell (PBE, OQMD).
Intensities are scaled so that the largest is 100.

Cell and atoms:
```
Dy3Si2Ge2Au4
1.0
-2.148 3.497 7.236
2.148 -3.497 7.236
2.148 3.497 -7.236
Dy Si Ge Au
3 2 2 4
Cartesian
0.000 0.000 0.000
2.148 0.000 5.417
0.000 3.497 1.818
0.000 0.000 3.130
0.000 0.000 11.341
2.148 2.189 0.000
0.000 1.309 7.236
2.148 1.411 -2.490
2.148 1.411 2.490
0.000 2.086 4.746
0.000 2.086 9.726
```

Peak list (12 most intense, 2θ = 15–90°, in order of rising 2θ)
2θ (°), I/Imax
27.30, 23
27.81, 35
33.51, 21
33.62, 100
34.87, 61
37.28, 34
37.47, 26
38.06, 46
42.06, 45
43.09, 48
57.41, 31
61.79, 33

***

This entry pairs a crystal structure of Ho2ErFe2Co7 with its computed powder XRD pattern. Radiation: Cu Kα. Structure: a DFT-relaxed cell (PBE, OQMD).
Intensities are scaled so that the largest is 100.

Cell and atoms:
```
Ho2ErFe2Co7
1.0
2.513 1.451 7.910
-2.513 1.451 7.910
0.000 -2.901 7.910
Ho Er Fe Co
2 1 2 7
Cartesian
0.000 0.000 3.336
0.000 0.000 20.394
0.000 0.000 0.000
0.000 0.000 7.925
0.000 0.000 15.804
-1.267 -0.732 9.854
0.000 -1.463 13.876
-1.267 0.732 13.876
0.000 0.000 11.865
1.267 -0.732 9.854
0.000 1.463 9.854
1.267 0.732 13.876
```

Peak list (12 most intense, 2θ = 15–90°, in order of rising 2θ)
2θ (°), I/Imax
20.75, 15
33.51, 52
35.73, 58
36.66, 41
41.68, 42
42.63, 100
45.88, 23
62.79, 18
64.81, 15
68.95, 23
70.37, 25
75.70, 22

***

This entry pairs a crystal structure of Tm2Al2IrPd3 with its computed powder XRD pattern. Radiation: Cu Kα. Structure: a DFT-relaxed cell (PBE, OQMD).
Intensities are scaled so that the largest is 100.

Cell and atoms:
```
Tm2Al2IrPd3
1.0
4.324 0.000 0.000
-2.162 3.745 0.000
0.000 0.000 9.037
Tm Al Ir Pd
2 2 1 3
Cartesian
0.000 0.000 0.000
0.000 2.496 4.423
2.162 1.248 2.361
2.162 1.248 6.758
0.000 0.000 2.949
0.000 0.000 5.997
0.000 2.496 1.414
0.000 2.496 7.477
```

Peak list (12 most intense, 2θ = 15–90°, in order of rising 2θ)
2θ (°), I/Imax
23.76, 45
25.75, 5
38.35, 100
41.78, 59
48.63, 7
58.00, 30
61.57, 5
66.01, 5
66.96, 9
74.00, 29
76.29, 10
77.19, 15